Entry 1:
Starting from DFT lattice parameters and positions (PBE), the X-ray powder pattern of Nd2Y2Er was calculated for Cu Kα, 1.54184 Å.
Lines closer than 0.1° are merged.

Most intense lines, 2θ from 10° to 90°, by intensity:
- 2.780 Å, 2θ = 32.2°, I 100, (5 1 0)
- 2.773 Å, 2θ = 32.3°, I 48, (2 2 -1)
- 2.881 Å, 2θ = 31.0°, I 36, (4 0 -2)
- 3.169 Å, 2θ = 28.2°, I 35, (0 2 0)
- 1.643 Å, 2θ = 56.0°, I 30, (9 1 -2)
- 2.132 Å, 2θ = 42.4°, I 23, (4 2 -2)
- 1.544 Å, 2θ = 59.9°, I 22, (7 3 -1)
- 1.828 Å, 2θ = 49.9°, I 19, (3 3 1)
- 1.530 Å, 2θ = 60.5°, I 16, (8 2 1)
- 1.547 Å, 2θ = 59.8°, I 11, (10 0 0)
- 7.735 Å, 2θ = 11.4°, I 10, (2 0 0)
- 1.834 Å, 2θ = 49.7°, I 10, (6 0 2)

Crystal structure
Lattice parameters (Å, degrees): 15.932 6.325 6.832 90.00 103.84 90.00
Space group C2/c (No. 15)
Asymmetric unit:
Nd  0.100  0.082  0.445
Y  0.199  0.419  0.152
Er  0.000  0.415  0.750

***

Entry 2:
Starting from DFT lattice parameters and positions (PBE), the X-ray powder pattern of RbCa2MnCl8 was calculated for Cu Kα, 1.54184 Å.
Lines closer than 0.1° are merged.

Most intense lines, 2θ from 10° to 90°, by intensity:
- 4.704 Å, 2θ = 18.9°, I 100, (1 0 -1)
- 4.454 Å, 2θ = 19.9°, I 88, (1 0 1)
- 3.076 Å, 2θ = 29.0°, I 64, (1 2 1)
- 2.404 Å, 2θ = 37.4°, I 59, (2 2 -1)
- 2.335 Å, 2θ = 38.6°, I 51, (2 2 1)
- 1.961 Å, 2θ = 46.3°, I 49, (0 2 3)
- 3.003 Å, 2θ = 29.7°, I 45, (1 0 -2)
- 3.528 Å, 2θ = 25.2°, I 42, (1 2 0)
- 2.453 Å, 2θ = 36.6°, I 38, (1 2 -2)
- 1.888 Å, 2θ = 48.2°, I 29, (3 2 0)
- 1.919 Å, 2θ = 47.4°, I 28, (1 4 1)
- 2.126 Å, 2θ = 42.5°, I 26, (0 4 0)

Crystal structure
Lattice parameters (Å, degrees): 6.329 8.506 6.638 90.00 93.14 90.00
Space group P2/m (No. 10)
Asymmetric unit:
Rb  0.000  0.000  0.000
Ca  0.500  0.260  0.500
Mn  0.000  0.500  0.000
Cl  0.212  0.313  0.153
Cl  0.272  0.500  0.673
Cl  0.290  0.000  0.634

***

Entry 3:
Starting from DFT lattice parameters and positions (PBE), the X-ray powder pattern of LiTmHfTc was calculated for Cu Kα, 1.54184 Å.
Lines closer than 0.1° are merged.

Most intense lines, 2θ from 10° to 90°, by intensity:
- 2.368 Å, 2θ = 38.0°, I 100, (2 2 0)
- 1.367 Å, 2θ = 68.7°, I 35, (4 2 2)
- 3.348 Å, 2θ = 26.6°, I 35, (2 0 0)
- 1.674 Å, 2θ = 54.8°, I 17, (4 0 0)
- 1.497 Å, 2θ = 62.0°, I 14, (4 2 0)
- 3.866 Å, 2θ = 23.0°, I 11, (1 1 1)
- 1.184 Å, 2θ = 81.3°, I 11, (4 4 0)
- 1.933 Å, 2θ = 47.0°, I 10, (2 2 2)
- 1.116 Å, 2θ = 87.4°, I 7, (6 0 0)
- 2.019 Å, 2θ = 44.9°, I 6, (3 1 1)
- 1.536 Å, 2θ = 60.2°, I 2, (3 3 1)
- 1.132 Å, 2θ = 85.9°, I 2, (5 3 1)

Crystal structure
Lattice parameters (Å, degrees): 6.697 6.697 6.697 90.00 90.00 90.00
Space group F-43m (No. 216)
Asymmetric unit:
Li  0.000  0.000  0.000
Tm  0.250  0.250  0.750
Hf  0.250  0.250  0.250
Tc  0.000  0.000  0.500

***

Entry 4:
Starting from DFT lattice parameters and positions (PBE), the X-ray powder pattern of La4Ga12Rh was calculated for Cu Kα, 1.54184 Å.
Lines closer than 0.1° are merged.

Most intense lines, 2θ from 10° to 90°, by intensity:
- 2.573 Å, 2θ = 34.9°, I 100, (2 2 2)
- 2.229 Å, 2θ = 40.5°, I 66, (4 0 0)
- 1.576 Å, 2θ = 58.6°, I 39, (4 4 0)
- 1.344 Å, 2θ = 70.0°, I 31, (6 2 2)
- 3.152 Å, 2θ = 28.3°, I 26, (2 2 0)
- 1.287 Å, 2θ = 73.6°, I 12, (4 4 4)
- 2.382 Å, 2θ = 37.8°, I 11, (3 2 1)
- 1.901 Å, 2θ = 47.9°, I 8, (3 3 2)
- 1.409 Å, 2θ = 66.3°, I 8, (6 2 0)
- 2.819 Å, 2θ = 31.7°, I 7, (3 1 0)
- 1.820 Å, 2θ = 50.1°, I 7, (4 2 2)
- 1.191 Å, 2θ = 80.7°, I 7, (6 4 2)

Crystal structure
Lattice parameters (Å, degrees): 8.914 8.914 8.914 90.00 90.00 90.00
Space group Im-3m (No. 229)
Asymmetric unit:
La  0.250  0.250  0.250
Ga  0.000  0.000  0.292
Ga  0.000  0.250  0.500
Rh  0.000  0.000  0.000

***

Entry 5:
Starting from DFT lattice parameters and positions (PBE), the X-ray powder pattern of La6SmDyEr2 was calculated for Cu Kα, 1.54184 Å.
Lines closer than 0.1° are merged.

Most intense lines, 2θ from 10° to 90°, by intensity:
- 2.901 Å, 2θ = 30.8°, I 100, (2 2 2)
- 3.015 Å, 2θ = 29.6°, I 79, (3 1 -1)
- 2.989 Å, 2θ = 29.9°, I 77, (0 2 3)
- 2.910 Å, 2θ = 30.7°, I 68, (2 4 -1)
- 3.189 Å, 2θ = 28.0°, I 66, (1 3 2)
- 2.925 Å, 2θ = 30.6°, I 60, (1 5 0)
- 2.723 Å, 2θ = 32.9°, I 59, (1 3 -3)
- 3.284 Å, 2θ = 27.2°, I 40, (2 2 -2)
- 2.837 Å, 2θ = 31.5°, I 38, (1 5 -1)
- 2.415 Å, 2θ = 37.2°, I 32, (1 1 -4)
- 2.961 Å, 2θ = 30.2°, I 24, (2 4 0)
- 2.682 Å, 2θ = 33.4°, I 23, (2 2 -3)

Crystal structure
Lattice parameters (Å, degrees): 9.359 15.413 9.836 90.00 98.46 90.00
Space group C2/c (No. 15)
Asymmetric unit:
La  0.067  0.175  0.448
La  0.097  0.394  0.620
La  0.217  0.221  0.808
Sm  0.000  0.026  0.750
Dy  0.000  0.411  0.250
Er  0.245  0.047  0.047

***

Entry 6:
Starting from DFT lattice parameters and positions (PBE), the X-ray powder pattern of Zr6BeZn5 was calculated for Cu Kα, 1.54184 Å.
Lines closer than 0.1° are merged.

Most intense lines, 2θ from 10° to 90°, by intensity:
- 2.345 Å, 2θ = 38.4°, I 100, (2 0 0)
- 1.355 Å, 2θ = 69.4°, I 21, (3 2 3)
- 1.660 Å, 2θ = 55.4°, I 11, (2 0 6)
- 1.353 Å, 2θ = 69.5°, I 11, (2 4 0)
- 1.172 Å, 2θ = 82.2°, I 8, (2 4 6)
- 3.317 Å, 2θ = 26.9°, I 6, (1 0 3)
- 1.656 Å, 2θ = 55.5°, I 5, (0 4 0)
- 1.174 Å, 2θ = 82.1°, I 2, (4 0 0)
- 1.915 Å, 2θ = 47.5°, I 2, (2 2 0)
- 3.830 Å, 2θ = 23.2°, I 1, (0 1 3)
- 5.992 Å, 2θ = 14.8°, I 1, (0 1 1)
- 3.365 Å, 2θ = 26.5°, I 1, (1 1 2)

Crystal structure
Lattice parameters (Å, degrees): 4.697 6.623 14.074 90.00 90.00 90.00
Space group Immm (No. 71)
Asymmetric unit:
Zr  0.000  0.242  0.000
Zr  0.000  0.254  0.337
Be  0.000  0.500  0.500
Zn  0.000  0.000  0.172
Zn  0.000  0.000  0.500
Zn  0.000  0.500  0.167